Structure and theoretical powder diffraction line list of CsNa2AgCl4 (the PBE geometry in Alexandria; λ = 1.5418 Å (Cu Kα)).

Most intense lines, 10 to 90 degrees two-theta, sorted by position:
two_theta	d [Å]	I (rel.)	(hkl)
12.10	7.316	96	0 0 2
21.55	4.123	23	1 1 0
24.32	3.659	53	0 0 4
24.79	3.592	27	1 1 2
27.22	3.277	49	0 4 2
28.32	3.151	43	1 3 1
30.27	2.952	100	1 3 2
32.73	2.736	22	1 1 4
34.65	2.589	28	0 4 4
42.06	2.148	23	2 0 0

Cell and atoms:
Lattice parameters (Å, degrees): 4.296 14.663 14.630 90.00 90.00 90.00
Space group Cmcm (No. 63)
Asymmetric unit:
1 Cs 0.000 0.122 0.250
2 Na 0.000 0.375 0.046
3 Ag 0.000 0.155 0.750
4 Cl 0.000 0.000 0.000
5 Cl 0.000 0.253 0.605
6 Cl 0.000 0.442 0.250



Structure and theoretical powder diffraction line list of PaGa2Rh2 (the PBE geometry in Alexandria; λ = 1.5418 Å (Cu Kα)).

Most intense lines, 10 to 90 degrees two-theta, sorted by position:
two_theta	d [Å]	I (rel.)	(hkl)
18.90	4.696	16	1 1 1
26.96	3.307	86	0 0 4
33.26	2.694	100	2 0 2
37.55	2.395	52	0 4 0
38.00	2.368	23	1 3 3
38.50	2.338	38	1 1 5
46.85	1.939	17	0 4 4
47.23	1.924	24	1 3 5
51.02	1.790	60	2 4 2
51.79	1.765	30	2 0 6

Cell and atoms:
Lattice parameters (Å, degrees): 5.901 9.582 13.210 90.00 90.00 90.00
Space group Fddd (No. 70, origin choice 2)
Asymmetric unit:
1 Pa 0.125 0.125 0.125
2 Ga 0.125 0.125 0.528
3 Rh 0.125 0.371 0.625



Structure and theoretical powder diffraction line list of Cs2SiTc (the PBE geometry in Alexandria; λ = 1.5418 Å (Cu Kα)).

Most intense lines, 10 to 90 degrees two-theta, sorted by position:
two_theta	d [Å]	I (rel.)	(hkl)
14.13	6.267	62	2 0 0
20.04	4.431	25	2 2 0
20.23	4.389	99	1 0 1
28.49	3.133	100	4 0 0
28.63	3.118	42	3 0 1
35.19	2.550	49	4 1 1
40.72	2.216	37	4 4 0
40.83	2.210	48	5 0 1
41.13	2.194	32	2 0 2
50.79	1.798	35	4 2 2

Cell and atoms:
Lattice parameters (Å, degrees): 12.534 12.534 4.686 90.00 90.00 90.00
Space group I4_1/amd (No. 141, origin choice 2)
Asymmetric unit:
1 Cs 0.000 0.000 0.000
2 Si 0.000 0.250 0.375
3 Tc 0.000 0.250 0.875



Structure and theoretical powder diffraction line list of BaMn2PBr (the PBE geometry in Alexandria; λ = 1.5418 Å (Cu Kα)).

Most intense lines, 10 to 90 degrees two-theta, sorted by position:
two_theta	d [Å]	I (rel.)	(hkl)
18.65	4.757	100	1 0 0
26.50	3.364	23	1 1 0
28.62	3.119	69	0 0 2
30.19	2.961	70	1 1 1
34.38	2.608	44	1 0 2
37.83	2.378	64	2 0 0
42.49	2.127	24	2 1 0
48.11	1.891	62	2 0 2
52.04	1.757	27	2 1 2
62.75	1.481	35	2 2 2

Cell and atoms:
Lattice parameters (Å, degrees): 4.757 4.757 6.238 90.00 90.00 90.00
Space group P4/mmm (No. 123)
Asymmetric unit:
1 Ba 0.000 0.000 0.000
2 Mn 0.000 0.500 0.500
3 P 0.500 0.500 0.000
4 Br 0.000 0.000 0.500



Structure and theoretical powder diffraction line list of Cs2AcHf2S7 (the PBE geometry in Alexandria; λ = 1.5418 Å (Cu Kα)).

Most intense lines, 10 to 90 degrees two-theta, sorted by position:
two_theta	d [Å]	I (rel.)	(hkl)
24.02	3.705	100	1 0 5
25.20	3.534	56	1 1 0
32.44	2.760	14	0 0 10
35.93	2.499	40	2 0 0
41.52	2.175	28	1 1 10
43.69	2.072	42	2 1 5
49.19	1.852	18	2 0 10
51.73	1.767	14	2 2 0
58.38	1.581	11	3 1 0
68.40	1.372	13	3 1 10

Cell and atoms:
Lattice parameters (Å, degrees): 4.998 4.998 27.597 90.00 90.00 90.00
Space group I4/mmm (No. 139)
Asymmetric unit:
1 Cs 0.000 0.000 0.186
2 Ac 0.000 0.000 0.000
3 Hf 0.000 0.000 0.405
4 S 0.000 0.000 0.320
5 S 0.000 0.000 0.500
6 S 0.000 0.500 0.076



Structure and theoretical powder diffraction line list of NaEuP2O7 (the PBE geometry in Alexandria; λ = 1.5418 Å (Cu Kα)).

Most intense lines, 10 to 90 degrees two-theta, sorted by position:
two_theta	d [Å]	I (rel.)	(hkl)
13.89	6.374	100	0 0 2
20.63	4.306	37	0 2 0
21.79	4.079	27	0 2 1
26.53	3.360	72	1 0 2
27.10	3.290	41	1 0 -4
27.40	3.256	54	1 2 0
27.60	3.232	48	1 2 -2
28.00	3.187	26	0 0 4
33.50	2.675	32	2 0 -2
42.57	2.124	55	0 4 1

Cell and atoms:
Lattice parameters (Å, degrees): 5.352 8.611 13.713 90.00 111.64 90.00
Space group P2_1/c (No. 14)
Asymmetric unit:
1 Na 0.140 0.115 0.422
2 Eu 0.462 0.195 0.733
3 P 0.079 0.506 0.318
4 P 0.230 0.743 0.967
5 O 0.041 0.160 0.586
6 O 0.131 0.168 0.825
7 O 0.188 0.574 0.436
8 O 0.223 0.043 0.232
9 O 0.250 0.577 0.259
10 O 0.312 0.740 0.086
11 O 0.444 0.677 0.929



Structure and theoretical powder diffraction line list of SiBr4 (the PBE geometry in Alexandria; λ = 1.5418 Å (Cu Kα)).

Most intense lines, 10 to 90 degrees two-theta, sorted by position:
two_theta	d [Å]	I (rel.)	(hkl)
16.49	5.374	16	2 1 0
18.08	4.906	25	2 1 1
25.68	3.469	100	2 2 2
29.74	3.004	38	4 0 0
31.59	2.833	8	4 1 1
38.19	2.357	12	4 1 3
40.42	2.232	8	4 3 2
42.56	2.124	31	4 4 0
50.37	1.812	23	6 2 2
51.58	1.772	7	6 3 1

Cell and atoms:
Lattice parameters (Å, degrees): 12.017 12.017 12.017 90.00 90.00 90.00
Space group Pa-3 (No. 205)
Asymmetric unit:
1 Si 0.134 0.134 0.134
2 Br 0.017 0.240 0.039
3 Br 0.240 0.240 0.240



Structure and theoretical powder diffraction line list of Zr4CoAu (the PBE geometry in Alexandria; λ = 1.5418 Å (Cu Kα)).

Most intense lines, 10 to 90 degrees two-theta, sorted by position:
two_theta	d [Å]	I (rel.)	(hkl)
13.39	6.611	29	1 0 0
18.98	4.675	35	1 1 0
30.23	2.956	30	2 1 0
34.44	2.604	100	2 1 1
37.98	2.369	64	1 1 2
38.52	2.337	25	2 2 0
42.79	2.113	64	2 0 2
43.28	2.091	68	3 1 0
65.95	1.416	20	4 0 2
69.32	1.355	29	3 3 2

Cell and atoms:
Lattice parameters (Å, degrees): 6.611 6.611 5.497 90.00 90.00 90.00
Space group P4/mcc (No. 124)
Asymmetric unit:
1 Zr 0.147 0.322 0.000
2 Co 0.000 0.000 0.250
3 Au 0.500 0.500 0.250



Structure and theoretical powder diffraction line list of CsHgPbBr3 (the PBE geometry in Alexandria; λ = 1.5418 Å (Cu Kα)).

Most intense lines, 10 to 90 degrees two-theta, sorted by position:
two_theta	d [Å]	I (rel.)	(hkl)
18.60	4.770	41	1 1 -2
19.09	4.648	23	0 0 3
22.51	3.950	27	2 0 -2
25.07	3.552	38	0 2 2
25.31	3.519	36	1 1 3
28.93	3.087	26	0 2 3
29.84	2.995	100	2 2 0
32.09	2.789	42	0 0 5
41.03	2.200	23	4 0 -1
46.48	1.954	24	2 2 5

Cell and atoms:
Lattice parameters (Å, degrees): 8.802 8.257 14.073 90.00 97.73 90.00
Space group C2/m (No. 12)
Asymmetric unit:
1 Cs 0.181 0.000 0.278
2 Hg 0.000 0.278 0.500
3 Pb 0.180 0.500 0.113
4 Br 0.089 0.265 0.878
5 Br 0.232 0.500 0.316



Structure and theoretical powder diffraction line list of Ba5Na4Hg2 (the PBE geometry in Alexandria; λ = 1.5418 Å (Cu Kα)).

Most intense lines, 10 to 90 degrees two-theta, sorted by position:
two_theta	d [Å]	I (rel.)	(hkl)
14.96	5.922	52	1 3 0
26.52	3.361	18	2 0 1
27.13	3.287	30	1 4 1
27.75	3.215	100	2 2 1
29.21	3.057	27	3 3 0
29.83	2.995	92	1 5 1
33.50	2.675	18	3 5 0
39.24	2.296	23	4 4 0
40.10	2.248	19	0 0 2
57.40	1.605	22	2 12 1

Cell and atoms:
Lattice parameters (Å, degrees): 10.116 21.911 4.497 90.00 90.00 90.00
Space group Pbam (No. 55)
Asymmetric unit:
1 Ba 0.000 0.000 0.000
2 Ba 0.114 0.408 0.000
3 Ba 0.238 0.215 0.000
4 Na 0.079 0.847 0.500
5 Na 0.201 0.563 0.500
6 Hg 0.019 0.296 0.500



Structure and theoretical powder diffraction line list of BeSn2B2Rh5 (the PBE geometry in Alexandria; λ = 1.5418 Å (Cu Kα)).

Most intense lines, 10 to 90 degrees two-theta, sorted by position:
two_theta	d [Å]	I (rel.)	(hkl)
34.55	2.596	20	3 2 0
35.36	2.539	21	2 0 1
36.68	2.450	82	2 1 1
39.71	2.270	100	4 1 0
40.91	2.206	32	3 3 0
42.76	2.114	84	3 1 1
43.23	2.093	24	4 2 0
46.10	1.969	39	3 2 1
70.91	1.329	25	6 2 1
75.60	1.258	31	4 1 2

Cell and atoms:
Lattice parameters (Å, degrees): 9.360 9.360 3.022 90.00 90.00 90.00
Space group P4/mbm (No. 127)
Asymmetric unit:
1 Be 0.000 0.000 0.000
2 Sn 0.176 0.324 0.000
3 B 0.128 0.628 0.000
4 Rh 0.000 0.500 0.500
5 Rh 0.073 0.791 0.500